No. 1
Diffraction record for TlHO. The powder diffraction line list is theoretical, not measured: it uses a PBE-relaxed structure and CuKα.

Most intense lines, 15° ≤ 2θ ≤ 90°, sorted by position:
2theta	d/Å	I (rel.)
23.2	3.832	33
23.8	3.737	25
25.5	3.486	31
26.3	3.391	27
29.1	3.064	100
29.8	2.996	34
30.5	2.935	29
32.9	2.721	37
40.7	2.217	45
52.5	1.744	26

Crystal structure
Lattice parameters (Å, degrees): 4.4389 4.4389 21.7874 91.56 91.56 91.98
Positions (direct):
Tl (0.0074, 0.0074, 0.3067)
Tl (0.0087, 0.4952, 0.0543)
Tl (0.4902, 0.4817, 0.1975)
Tl (0.4981, 0.0262, 0.4517)
Tl (0.5048, 0.9913, 0.9457)
Tl (0.5183, 0.5098, 0.8025)
Tl (0.9738, 0.5019, 0.5483)
Tl (0.9926, 0.9926, 0.6933)
H (0.0252, 0.4867, 0.9110)
H (0.0428, 0.0101, 0.8343)
H (0.0542, 0.5252, 0.4005)
H (0.4748, 0.9458, 0.5995)
H (0.4890, 0.4483, 0.6597)
H (0.5133, 0.9748, 0.0890)
H (0.5517, 0.5110, 0.3403)
H (0.9899, 0.9572, 0.1657)
O (0.1756, 0.5127, 0.9443)
O (0.1842, 0.0294, 0.8011)
O (0.1860, 0.5476, 0.4372)
O (0.4524, 0.8141, 0.5628)
O (0.4659, 0.3131, 0.6939)
O (0.4873, 0.8244, 0.0557)
O (0.6869, 0.5341, 0.3061)
O (0.9706, 0.8158, 0.1989)

No. 2
Diffraction record for GaPb3N3. The powder diffraction line list is theoretical, not measured: it uses a PBE-relaxed structure and CuKα.

Most intense lines, 15° ≤ 2θ ≤ 90°, sorted by position:
2theta	d/Å	I (rel.)
16.9	5.233	35
26.0	3.426	12
29.6	3.021	73
29.9	2.986	100
36.0	2.494	10
42.6	2.124	34
50.6	1.805	10
52.5	1.744	11
52.7	1.737	28
59.3	1.558	22

Crystal structure
Lattice parameters (Å, degrees): 10.4654 10.4654 3.6367 90.00 90.00 120.00
Positions (direct):
Ga (0.3333, 0.6667, 0.2500)
Ga (0.6667, 0.3333, 0.7500)
Pb (0.0253, 0.3676, 0.7500)
Pb (0.3424, 0.9747, 0.7500)
Pb (0.3676, 0.3424, 0.2500)
Pb (0.6324, 0.6576, 0.7500)
Pb (0.6576, 0.0253, 0.2500)
Pb (0.9747, 0.6324, 0.2500)
N (0.1303, 0.5315, 0.2500)
N (0.4012, 0.8697, 0.2500)
N (0.4685, 0.5988, 0.2500)
N (0.5315, 0.4012, 0.7500)
N (0.5988, 0.1303, 0.7500)
N (0.8697, 0.4685, 0.7500)

No. 3
Diffraction record for PmSmTl2. The powder diffraction line list is theoretical, not measured: it uses a PBE-relaxed structure and CuKα.

Most intense lines, 15° ≤ 2θ ≤ 90°, sorted by position:
2theta	d/Å	I (rel.)
23.0	3.873	2
32.7	2.738	100
40.3	2.236	1
46.9	1.936	18
52.9	1.732	1
58.4	1.581	39
68.5	1.369	12
73.3	1.291	1
78.0	1.225	17
87.2	1.118	4

Crystal structure
Lattice parameters (Å, degrees): 5.4767 5.4767 5.4767 60.00 60.00 60.00
Positions (direct):
Pm (0.0000, 0.0000, 0.0000)
Sm (0.5000, 0.5000, 0.5000)
Tl (0.2500, 0.2500, 0.2500)
Tl (0.7500, 0.7500, 0.7500)

No. 4
Diffraction record for Nb2GeAs2. The powder diffraction line list is theoretical, not measured: it uses a PBE-relaxed structure and CuKα.

Most intense lines, 15° ≤ 2θ ≤ 90°, sorted by position:
2theta	d/Å	I (rel.)
30.6	2.917	28
32.6	2.744	100
37.0	2.431	19
45.4	1.999	37
46.8	1.940	36
50.1	1.820	32
57.0	1.615	19
61.1	1.516	17
77.8	1.227	15
80.4	1.194	22

Crystal structure
Lattice parameters (Å, degrees): 2.7436 2.7436 14.5859 90.00 90.00 90.00
Positions (direct):
Nb (0.0000, 0.0000, 0.1802)
Nb (0.0000, 0.0000, 0.8198)
Ge (0.0000, 0.0000, 0.0000)
As (0.0000, 0.0000, 0.3627)
As (0.0000, 0.0000, 0.6373)

No. 5
Diffraction record for Sr4Hf3TiO12. The powder diffraction line list is theoretical, not measured: it uses a PBE-relaxed structure and CuKα.

Most intense lines, 15° ≤ 2θ ≤ 90°, sorted by position:
2theta	d/Å	I (rel.)
21.9	4.055	13
31.0	2.889	100
31.2	2.867	52
44.0	2.058	16
44.7	2.028	29
54.9	1.672	21
55.4	1.660	43
64.5	1.444	18
73.9	1.282	10
89.6	1.094	11

Crystal structure
Lattice parameters (Å, degrees): 5.7324 5.7376 8.2334 89.96 89.98 89.98
Positions (direct):
Sr (0.0065, 0.0041, 0.2430)
Sr (0.4921, 0.5032, 0.7569)
Sr (0.5079, 0.4968, 0.2431)
Sr (0.9935, 0.9959, 0.7570)
Hf (0.0000, 0.5000, 0.5000)
Hf (0.5000, 0.0000, 0.0000)
Hf (0.5000, 0.0000, 0.5000)
Ti (0.0000, 0.5000, 0.0000)
O (0.0015, 0.4758, 0.2435)
O (0.1930, 0.1935, 0.5123)
O (0.2202, 0.2325, 0.9864)
O (0.2677, 0.7202, 0.0098)
O (0.3066, 0.6932, 0.4897)
O (0.4958, 0.0271, 0.2493)
O (0.5042, 0.9729, 0.7507)
O (0.6934, 0.3068, 0.5103)
O (0.7323, 0.2798, 0.9902)
O (0.7798, 0.7675, 0.0136)
O (0.8070, 0.8065, 0.4877)
O (0.9985, 0.5242, 0.7565)

No. 6
Diffraction record for La4B2CI5. The powder diffraction line list is theoretical, not measured: it uses a PBE-relaxed structure and CuKα.

Most intense lines, 15° ≤ 2θ ≤ 90°, sorted by position:
2theta	d/Å	I (rel.)
25.3	3.516	11
27.7	3.217	43
27.8	3.206	100
28.0	3.188	13
31.1	2.876	16
37.5	2.398	12
39.4	2.287	30
40.0	2.255	21
41.9	2.155	20
51.0	1.791	15

Crystal structure
Lattice parameters (Å, degrees): 12.1087 12.1087 19.1856 125.24 125.24 20.50
Positions (direct):
La (0.0047, 0.0047, 0.0915)
La (0.0123, 0.0123, 0.3773)
La (0.3446, 0.3446, 0.8968)
La (0.3712, 0.3712, 0.3965)
La (0.6288, 0.6288, 0.6035)
La (0.6554, 0.6554, 0.1032)
La (0.9877, 0.9877, 0.6227)
La (0.9953, 0.9953, 0.9085)
B (0.1847, 0.8153, 0.5000)
B (0.4964, 0.4964, 0.5471)
B (0.5036, 0.5036, 0.4529)
B (0.8153, 0.1847, 0.5000)
C (0.4645, 0.4645, 0.9760)
C (0.5355, 0.5355, 0.0240)
I (0.1612, 0.1612, 0.7559)
I (0.1625, 0.1625, 0.9832)
I (0.1768, 0.1768, 0.2468)
I (0.1813, 0.1813, 0.5236)
I (0.4822, 0.4822, 0.7597)
I (0.5178, 0.5178, 0.2403)
I (0.8187, 0.8187, 0.4764)
I (0.8232, 0.8232, 0.7532)
I (0.8375, 0.8375, 0.0168)
I (0.8388, 0.8388, 0.2441)

No. 7
Diffraction record for Ca5Ga2N4. The powder diffraction line list is theoretical, not measured: it uses a PBE-relaxed structure and CuKα.

Most intense lines, 15° ≤ 2θ ≤ 90°, sorted by position:
2theta	d/Å	I (rel.)
20.1	4.415	24
20.8	4.271	45
32.0	2.798	100
32.7	2.741	97
34.4	2.609	57
36.8	2.440	88
37.2	2.415	47
39.4	2.285	30
41.1	2.198	29
51.3	1.782	34

Crystal structure
Lattice parameters (Å, degrees): 6.1114 6.1114 14.3381 90.00 90.00 132.94
Positions (direct):
Ca (0.0000, 0.0000, 0.0000)
Ca (0.1153, 0.8847, 0.6732)
Ca (0.2287, 0.7713, 0.4196)
Ca (0.2713, 0.7287, 0.9196)
Ca (0.3847, 0.6153, 0.1732)
Ca (0.5000, 0.5000, 0.5000)
Ca (0.6153, 0.3847, 0.8268)
Ca (0.7287, 0.2713, 0.0804)
Ca (0.7713, 0.2287, 0.5804)
Ca (0.8847, 0.1153, 0.3268)
Ga (0.0931, 0.9069, 0.1926)
Ga (0.4069, 0.5931, 0.6926)
Ga (0.5931, 0.4069, 0.3074)
Ga (0.9069, 0.0931, 0.8074)
N (0.0801, 0.9199, 0.8429)
N (0.1946, 0.8054, 0.0806)
N (0.3054, 0.6946, 0.5806)
N (0.4199, 0.5801, 0.3429)
N (0.5801, 0.4199, 0.6571)
N (0.6946, 0.3054, 0.4194)
N (0.8054, 0.1946, 0.9194)
N (0.9199, 0.0801, 0.1571)

No. 8
Diffraction record for NaIO4. The powder diffraction line list is theoretical, not measured: it uses a PBE-relaxed structure and CuKα.

Most intense lines, 15° ≤ 2θ ≤ 90°, sorted by position:
2theta	d/Å	I (rel.)
15.2	5.817	100
22.3	3.992	58
25.0	3.564	59
26.8	3.322	48
28.3	3.157	94
29.0	3.075	40
32.2	2.779	26
32.4	2.765	46
32.7	2.742	29
45.5	1.995	33

Crystal structure
Lattice parameters (Å, degrees): 7.0027 7.0027 9.2363 118.88 118.88 32.16
Positions (direct):
Na (0.1094, 0.1094, 0.4025)
Na (0.8906, 0.8906, 0.5975)
I (0.2191, 0.3794, 0.2200)
I (0.6206, 0.7809, 0.7800)
O (0.0190, 0.8116, 0.3152)
O (0.1884, 0.9810, 0.6848)
O (0.2952, 0.2776, 0.4039)
O (0.4367, 0.2056, 0.9017)
O (0.4687, 0.4088, 0.8015)
O (0.5912, 0.5313, 0.1985)
O (0.7224, 0.7048, 0.5961)
O (0.7944, 0.5633, 0.0983)

No. 9
Diffraction record for Sc5Cu5O13. The powder diffraction line list is theoretical, not measured: it uses a PBE-relaxed structure and CuKα.

Most intense lines, 15° ≤ 2θ ≤ 90°, sorted by position:
2theta	d/Å	I (rel.)
31.4	2.847	29
31.5	2.836	81
32.5	2.757	100
32.7	2.742	94
32.8	2.728	97
37.4	2.406	27
53.3	1.718	56
53.7	1.707	27
54.7	1.678	66
55.3	1.662	30

Crystal structure
Lattice parameters (Å, degrees): 5.8298 6.0021 8.8062 71.20 70.70 80.74
Positions (direct):
Sc (0.0000, 0.0000, 0.0000)
Sc (0.1955, 0.0436, 0.5963)
Sc (0.3981, 0.0007, 0.2069)
Sc (0.5963, 0.0860, 0.7876)
Sc (0.7995, 0.0465, 0.3935)
Cu (0.1286, 0.5387, 0.2706)
Cu (0.2932, 0.5345, 0.8917)
Cu (0.4858, 0.5417, 0.5059)
Cu (0.6961, 0.5384, 0.1100)
Cu (0.8947, 0.5477, 0.7018)
O (0.0315, 0.5857, 0.0711)
O (0.0551, 0.8628, 0.2415)
O (0.1256, 0.2080, 0.3569)
O (0.2987, 0.2018, 0.9760)
O (0.3002, 0.8688, 0.8184)
O (0.4234, 0.5906, 0.3019)
O (0.4796, 0.8675, 0.4460)
O (0.5193, 0.2185, 0.5492)
O (0.5582, 0.4866, 0.7099)
O (0.6654, 0.8733, 0.0153)
O (0.7104, 0.2030, 0.1613)
O (0.8795, 0.8772, 0.6322)
O (0.9453, 0.2183, 0.7637)

What is the formula in the sixth record? La4B2CI5

Repeat the third record exactly.
Diffraction record for PmSmTl2. The powder diffraction line list is theoretical, not measured: it uses a PBE-relaxed structure and CuKα.

Most intense lines, 15° ≤ 2θ ≤ 90°, sorted by position:
2theta	d/Å	I (rel.)
23.0	3.873	2
32.7	2.738	100
40.3	2.236	1
46.9	1.936	18
52.9	1.732	1
58.4	1.581	39
68.5	1.369	12
73.3	1.291	1
78.0	1.225	17
87.2	1.118	4

Crystal structure
Lattice parameters (Å, degrees): 5.4767 5.4767 5.4767 60.00 60.00 60.00
Positions (direct):
Pm (0.0000, 0.0000, 0.0000)
Sm (0.5000, 0.5000, 0.5000)
Tl (0.2500, 0.2500, 0.2500)
Tl (0.7500, 0.7500, 0.7500)